Entry 1:
This entry pairs a crystal structure of P2W5O19 with its simulated powder diffractogram. Radiation: Cu Ka. Structure: a PBE+U-relaxed structure.

Main lines, by angle (2θ = 15–90°):
2theta	d [Å]	intensity
21.55	4.123	100.0
22.80	3.901	56.5
24.68	3.608	24.0
24.78	3.593	22.8
32.57	2.749	29.5
34.24	2.619	29.7

```
52
Lattice="5.395 0.000 0.000 0.000 6.710 0.000 -5.272 0.000 20.916" Properties=species:S:1:pos:R:3 pbc="T T T"
P -0.039 0.202 4.110
P -2.675 3.153 14.567
P 2.799 3.557 6.348
P 0.163 6.508 16.806
W -0.007 4.495 1.549
W -2.643 5.570 12.006
W -2.576 4.461 17.830
W 0.059 5.604 7.372
W 2.698 0.000 0.000
W 0.062 3.355 10.458
W 0.064 1.106 13.544
W 2.700 2.249 3.086
W 2.766 1.140 8.909
W 0.131 2.215 19.367
O -2.636 0.000 10.458
O 0.000 3.355 0.000
O -1.245 4.285 6.514
O -3.881 5.780 16.972
O -4.023 3.436 18.406
O -1.387 6.629 7.948
O -2.632 4.419 13.704
O 0.004 5.646 3.247
O -3.804 1.208 20.023
O -1.168 2.147 9.565
O -1.403 4.361 11.209
O 1.233 5.704 0.751
O -2.544 3.553 16.050
O 0.092 6.512 5.593
O 1.465 3.465 2.375
O -1.171 6.600 12.833
O 1.138 1.138 3.781
O -1.497 2.217 14.239
O 0.055 4.536 8.895
O -2.581 5.529 19.352
O 2.704 1.181 1.563
O 0.069 2.174 12.021
O 1.621 4.493 6.677
O -1.015 5.572 17.135
O 1.295 0.110 8.083
O -1.341 3.245 18.541
O 0.032 0.198 15.323
O 2.668 3.157 4.865
O -1.109 1.006 20.164
O 1.527 2.349 9.706
O 1.292 4.563 11.351
O 3.928 5.502 0.893
O 0.120 1.064 17.669
O 2.755 2.291 7.211
O 1.511 0.081 12.968
O 4.147 3.274 2.510
O 4.005 0.930 3.943
O 1.369 2.425 14.401
```

Entry 2:
This entry pairs a crystal structure of Li2Cr3TeO8 with its simulated powder diffractogram. Radiation: Cu Ka. Structure: a PBE+U-relaxed structure.

Main lines, by angle (2θ = 15–90°):
2theta	d [Å]	intensity
19.37	4.583	100.0
25.03	3.557	30.4
32.45	2.759	38.2
35.14	2.554	52.0
35.81	2.508	27.9
44.65	2.029	27.6

```
28
Lattice="5.992 0.000 0.000 -2.996 5.189 0.000 0.000 0.000 9.771" Properties=species:S:1:pos:R:3 pbc="T T T"
Li 0.000 0.000 0.000
Li 0.000 0.000 4.886
Li 0.000 3.459 4.042
Li 2.996 1.730 8.928
Cr 0.000 1.761 7.069
Cr -1.471 4.309 7.069
Cr 1.525 0.881 2.183
Cr 1.471 4.309 7.069
Cr 4.467 0.881 2.183
Cr 2.996 3.428 2.183
Te 0.000 3.459 9.750
Te 2.996 1.730 4.864
O 0.000 0.000 3.094
O 0.000 0.000 7.980
O -1.349 2.680 8.271
O 0.000 1.663 1.027
O -1.556 4.358 1.027
O 1.440 0.831 5.913
O 0.000 3.459 6.046
O 1.349 2.680 8.271
O 0.000 5.018 8.271
O 2.996 0.171 3.386
O 1.646 2.509 3.386
O 2.996 1.730 1.160
O 1.556 4.358 1.027
O 4.552 0.831 5.913
O 2.996 3.527 5.913
O 4.345 2.509 3.386
```

Entry 3:
This entry pairs a crystal structure of MgVFeP4O14 with its simulated powder diffractogram. Radiation: Cu Ka. Structure: a PBE+U-relaxed structure.

Main lines, by angle (2θ = 15–90°):
2theta	d [Å]	intensity
16.94	5.233	100.0
21.18	4.196	13.9
21.78	4.080	30.8
22.31	3.986	17.0
28.26	3.158	24.0
29.08	3.071	24.7

```
21
Lattice="5.109 0.000 0.000 1.834 6.655 0.000 0.289 -0.049 8.486" Properties=species:S:1:pos:R:3 pbc="T T T"
Mg 0.000 0.000 0.000
V 5.259 1.338 5.662
Fe 3.377 4.846 1.765
P 2.784 2.389 3.840
P 4.546 6.248 7.301
P 5.842 6.509 3.099
P 5.705 3.775 8.021
O 1.821 6.345 1.999
O 1.854 4.548 8.424
O 1.418 1.889 4.294
O 1.495 -0.024 6.494
O 2.573 3.633 2.975
O 3.826 6.316 0.316
O 3.372 1.302 2.773
O 3.805 2.543 4.962
O 4.720 5.485 2.964
O 4.942 4.751 6.932
O 4.435 3.611 0.703
O 3.969 0.481 7.179
O 6.420 6.506 4.498
O 5.918 2.462 7.283
```

Entry 4:
This entry pairs a crystal structure of Ba3MgWO6 with its simulated powder diffractogram. Radiation: Cu Ka. Structure: a PBE+U-relaxed structure.

Main lines, by angle (2θ = 15–90°):
2theta	d [Å]	intensity
24.59	3.620	57.3
24.97	3.567	28.6
28.41	3.141	24.3
28.93	3.086	51.1
29.07	3.072	100.0
38.58	2.334	30.0

```
11
Lattice="5.313 -3.086 0.000 5.313 3.086 0.000 -3.432 0.000 6.516" Properties=species:S:1:pos:R:3 pbc="T T T"
Ba 0.000 0.000 0.000
Ba 3.615 0.000 5.092
Ba 7.177 0.000 2.569
Mg 0.121 0.000 3.530
W 0.171 0.000 6.181
O 2.872 1.540 0.544
O -1.476 0.000 4.727
O 0.993 1.365 4.691
O 5.330 0.000 0.649
O 2.872 -1.540 0.544
O 0.993 -1.365 4.691
```

Entry 5:
This entry pairs a crystal structure of Li4Ti3Cr3Co2O16 with its simulated powder diffractogram. Radiation: Cu Ka. Structure: a PBE+U-relaxed structure.

Main lines, by angle (2θ = 15–90°):
2theta	d [Å]	intensity
18.52	4.791	69.3
19.58	4.535	51.4
19.69	4.509	100.0
35.52	2.528	28.7
35.74	2.512	41.9
36.32	2.473	40.2

```
28
Lattice="5.902 0.000 0.000 2.935 5.132 0.000 0.005 0.093 9.582" Properties=species:S:1:pos:R:3 pbc="T T T"
Li 0.000 0.000 0.000
Li 2.987 5.158 4.819
Li 2.968 1.721 0.979
Li 5.896 3.465 5.793
Ti 4.351 0.938 7.452
Ti 7.354 4.314 2.728
Ti 5.916 1.772 2.705
Cr 1.463 0.955 7.560
Cr 2.949 3.459 7.509
Cr 4.468 4.283 2.715
Co 2.899 1.778 4.879
Co 5.951 3.469 0.085
O 0.017 0.036 1.787
O 1.625 2.472 6.365
O 2.908 3.493 3.797
O 1.463 0.920 3.806
O 4.415 4.445 8.544
O 2.986 1.763 8.571
O 2.937 0.250 6.345
O 4.247 2.491 6.272
O 5.950 4.960 1.535
O 4.657 2.671 1.481
O 4.464 0.879 3.768
O 5.944 3.421 3.780
O 7.356 4.389 8.613
O 5.937 1.764 8.548
O 7.233 2.682 1.560
O 5.885 0.088 6.598
```

Entry 6:
This entry pairs a crystal structure of Fe5O7 with its simulated powder diffractogram. Radiation: Cu Ka. Structure: a PBE+U-relaxed structure.

Main lines, by angle (2θ = 15–90°):
2theta	d [Å]	intensity
19.87	4.469	38.8
32.54	2.752	38.3
33.28	2.692	100.0
41.40	2.181	51.2
42.80	2.113	41.7
44.69	2.028	34.7

```
24
Lattice="1.499 -5.058 0.000 1.499 5.058 0.000 0.000 0.000 19.081" Properties=species:S:1:pos:R:3 pbc="T T T"
Fe 0.000 0.000 0.000
Fe 0.000 0.000 9.540
Fe 1.499 2.396 10.964
Fe 1.499 2.396 17.657
Fe 1.499 0.248 3.085
Fe 1.499 0.248 6.456
Fe 1.499 -0.248 12.625
Fe 1.499 -0.248 15.996
Fe 1.499 -2.396 1.424
Fe 1.499 -2.396 8.117
O 1.499 4.036 1.904
O 1.499 4.036 7.637
O 1.499 3.566 12.490
O 1.499 3.566 16.131
O 1.499 1.503 0.506
O 1.499 1.503 9.034
O 1.499 0.465 14.310
O 1.499 -0.465 4.770
O 1.499 -1.503 10.046
O 1.499 -1.503 18.575
O 1.499 -3.566 2.949
O 1.499 -3.566 6.591
O 1.499 -4.036 11.444
O 1.499 -4.036 17.177
```

Entry 7:
This entry pairs a crystal structure of Li3Cu2W4O16 with its simulated powder diffractogram. Radiation: Cu Ka. Structure: a PBE+U-relaxed structure.

Main lines, by angle (2θ = 15–90°):
2theta	d [Å]	intensity
18.25	4.861	100.0
20.86	4.258	55.5
24.51	3.632	73.4
26.94	3.310	49.9
28.64	3.116	56.7
32.29	2.772	59.0

```
25
Lattice="5.901 0.000 0.000 2.232 6.502 0.000 1.730 2.271 7.647" Properties=species:S:1:pos:R:3 pbc="T T T"
Li 0.000 0.000 0.000
Li 3.597 6.196 5.678
Li 4.915 4.312 3.785
Cu 2.916 6.310 2.813
Cu 5.644 4.275 6.700
W 1.361 2.901 1.285
W 2.180 3.230 4.341
W 6.351 7.330 5.089
W 5.410 5.376 0.552
O 0.838 1.115 1.455
O 2.861 5.009 4.207
O 4.445 7.743 4.519
O 3.992 5.034 7.307
O 2.882 2.927 2.411
O 5.595 7.702 7.076
O 4.536 5.513 2.180
O 4.066 2.816 4.936
O 5.653 5.551 5.297
O 3.795 0.618 0.300
O 5.460 3.367 0.618
O 7.232 7.064 3.524
O 7.883 7.245 6.200
O 6.515 3.317 3.269
O 7.230 3.459 5.988
O 7.264 4.959 1.145
```

Entry 8:
This entry pairs a crystal structure of CrWO3 with its simulated powder diffractogram. Radiation: Cu Ka. Structure: a PBE+U-relaxed structure.

Main lines, by angle (2θ = 15–90°):
2theta	d [Å]	intensity
18.37	4.831	100.0
25.35	3.513	33.2
26.80	3.326	55.4
30.25	2.955	22.6
40.85	2.209	34.7
42.76	2.115	21.0

```
5
Lattice="3.326 1.920 2.955 -3.326 1.920 2.955 0.000 -3.841 2.955" Properties=species:S:1:pos:R:3 pbc="T T T"
Cr 0.000 0.000 0.000
W 0.000 0.000 6.144
O -1.498 -1.015 6.044
O -0.130 1.804 6.044
O 1.628 -0.789 6.044
```

Entry 9:
This entry pairs a crystal structure of SrLiLa3MnO8 with its simulated powder diffractogram. Radiation: Cu Ka. Structure: a PBE+U-relaxed structure.

Main lines, by angle (2θ = 15–90°):
2theta	d [Å]	intensity
24.20	3.677	58.4
28.22	3.163	25.3
31.49	2.841	100.0
32.96	2.718	78.6
43.93	2.061	55.6
47.30	1.922	41.6

```
14
Lattice="5.443 0.000 0.000 0.000 2.714 6.326 0.000 -2.714 6.326" Properties=species:S:1:pos:R:3 pbc="T T T"
Sr 0.000 0.000 0.000
Li 2.722 0.000 1.723
La 0.000 0.000 3.473
La 2.722 0.000 6.378
La 2.722 0.000 9.881
Mn 0.000 0.000 8.110
O 0.000 0.000 6.042
O 0.000 0.000 10.115
O 1.328 -1.329 8.154
O 1.328 1.329 8.154
O 2.722 0.000 4.101
O 2.722 0.000 12.141
O 4.115 -1.329 8.154
O 4.115 1.329 8.154
```